(1)
Structure and computed powder XRD pattern of AlGaCo2 (a GGA-PBE-relaxed structure; copper Kα).
Neutral-atom scattering factors, no anomalous dispersion.

Structural model:
Cell: 2.8769 2.8769 5.7151 Å, 90.00 90.00 90.00°
Space group P4/mmm (No. 123)
One atom of each set of equivalent atoms:
Al 0.0000 0.0000 0.0000 [1 per cell]
Ga 0.0000 0.0000 0.5000 [1 per cell]
Co 0.5000 0.5000 0.2491 [2 per cell]

Principal peaks in the range 2θ from 10° to 90°, sorted by position:
hkl  2θ/deg  I/Imax
0 0 1  15.50  14.2
1 0 1  34.92  9.0
1 1 0  44.54  50.5
1 0 2  44.70  100.0
2 0 0  64.81  15.4
0 0 4  65.31  7.5
2 1 2  82.16  30.4
1 1 4  82.50  15.0

***

(2)
Structure and computed powder XRD pattern of SiC (a GGA-PBE-relaxed structure; copper Kα).
Neutral-atom scattering factors, no anomalous dispersion.

Structural model:
Cell: 4.3796 4.3796 4.3796 Å, 90.00 90.00 90.00°
Space group F-43m (No. 216)
One atom of each set of equivalent atoms:
Si 0.0000 0.0000 0.0000 [4 per cell]
C 0.2500 0.2500 0.2500 [4 per cell]

Principal peaks in the range 2θ from 10° to 90°, sorted by position:
hkl  2θ/deg  I/Imax
1 1 1  35.50  100.0
2 0 0  41.23  17.9
2 2 0  59.72  45.8
3 1 1  71.44  35.1
2 2 2  75.15  5.1
4 0 0  89.51  7.6